# 1
Diffraction record for Cu3AsO7. The powder diffractogram is simulated, not measured: it uses a structure optimized by DFT (GGA-PBE) and Cu Kα (weighted mean of Kα1 and Kα2).
Intensities are scaled so that the largest is 100.

Cell lengths 7.609, 6.229, 11.925 Å; angles 90.00, 98.98, 90.00 degrees
Fractional coordinates of all 44 atoms:
Cu (0.127, 0.137, 0.092)
Cu (0.127, 0.363, 0.592)
Cu (0.299, 0.617, 0.120)
Cu (0.299, 0.883, 0.620)
Cu (0.303, 0.638, 0.835)
Cu (0.303, 0.862, 0.335)
Cu (0.697, 0.138, 0.665)
Cu (0.697, 0.362, 0.165)
Cu (0.701, 0.117, 0.380)
Cu (0.701, 0.383, 0.880)
Cu (0.873, 0.637, 0.408)
Cu (0.873, 0.863, 0.908)
As (0.199, 0.153, 0.823)
As (0.199, 0.347, 0.323)
As (0.801, 0.653, 0.677)
As (0.801, 0.847, 0.177)
O (0.037, 0.225, 0.713)
O (0.037, 0.275, 0.213)
O (0.075, 0.086, 0.928)
O (0.075, 0.414, 0.428)
O (0.263, 0.712, 0.977)
O (0.263, 0.788, 0.477)
O (0.291, 0.604, 0.677)
O (0.291, 0.896, 0.177)
O (0.314, 0.168, 0.598)
O (0.314, 0.332, 0.098)
O (0.322, 0.569, 0.285)
O (0.322, 0.931, 0.785)
O (0.356, 0.153, 0.363)
O (0.356, 0.347, 0.863)
O (0.644, 0.653, 0.137)
O (0.644, 0.847, 0.637)
O (0.678, 0.069, 0.215)
O (0.678, 0.431, 0.715)
O (0.686, 0.668, 0.902)
O (0.686, 0.832, 0.402)
O (0.709, 0.104, 0.823)
O (0.709, 0.396, 0.323)
O (0.737, 0.212, 0.523)
O (0.737, 0.288, 0.023)
O (0.925, 0.586, 0.572)
O (0.925, 0.914, 0.072)
O (0.963, 0.725, 0.787)
O (0.963, 0.775, 0.287)

Top 6 peaks for 2θ = 15–90°, sorted by position:
2θ/deg	d/Å	I (rel.)
20.68	4.295	49
23.68	3.758	100
27.73	3.217	76
30.84	2.900	38
31.57	2.834	45
37.64	2.390	38



# 2
Diffraction record for MgSi2. The powder diffractogram is simulated, not measured: it uses a structure optimized by DFT (GGA-PBE) and Cu Kα (weighted mean of Kα1 and Kα2).
Intensities are scaled so that the largest is 100.

Cell lengths 5.783, 5.783, 11.543 Å; angles 108.71, 108.71, 37.89 degrees
Fractional coordinates of all 12 atoms:
Mg (0.000, 0.000, 0.000)
Mg (0.260, 0.260, 0.787)
Mg (0.550, 0.550, 0.588)
Mg (0.622, 0.622, 0.253)
Si (0.195, 0.195, 0.515)
Si (0.345, 0.345, 0.057)
Si (0.351, 0.351, 0.266)
Si (0.576, 0.576, 0.826)
Si (0.702, 0.702, 0.043)
Si (0.832, 0.832, 0.516)
Si (0.934, 0.934, 0.741)
Si (0.968, 0.968, 0.378)

Top 6 peaks for 2θ = 15–90°, sorted by position:
2θ/deg	d/Å	I (rel.)
32.99	2.715	64
34.28	2.616	100
35.44	2.533	50
38.47	2.340	34
47.86	1.900	33
48.49	1.878	51



# 3
Diffraction record for CdGa2Se2S2. The powder diffractogram is simulated, not measured: it uses a structure optimized by DFT (GGA-PBE) and Cu Kα (weighted mean of Kα1 and Kα2).
Intensities are scaled so that the largest is 100.

Cell lengths 6.673, 6.673, 5.735 Å; angles 114.63, 114.63, 105.67 degrees
Fractional coordinates of all 7 atoms:
Cd (0.000, 0.000, 0.000)
Ga (0.258, 0.742, 0.500)
Ga (0.499, 0.501, 0.000)
Se (0.417, 0.136, 0.534)
Se (0.864, 0.583, 0.466)
S (0.148, 0.411, 0.020)
S (0.589, 0.852, 0.980)

Top 6 peaks for 2θ = 15–90°, sorted by position:
2θ/deg	d/Å	I (rel.)
22.05	4.031	28
27.25	3.272	100
27.77	3.212	80
43.61	2.076	24
46.19	1.965	39
46.59	1.949	39



# 4
Diffraction record for TlCl2. The powder diffractogram is simulated, not measured: it uses a structure optimized by DFT (GGA-PBE) and Cu Kα (weighted mean of Kα1 and Kα2).
Intensities are scaled so that the largest is 100.

Cell lengths 9.446, 9.446, 9.446 Å; angles 135.42, 135.42, 64.87 degrees
Fractional coordinates of all 12 atoms:
Tl (0.125, 0.375, 0.750)
Tl (0.375, 0.125, 0.250)
Tl (0.625, 0.875, 0.750)
Tl (0.875, 0.625, 0.250)
Cl (0.134, 0.795, 0.848)
Cl (0.215, 0.366, 0.161)
Cl (0.295, 0.946, 0.661)
Cl (0.446, 0.285, 0.652)
Cl (0.554, 0.715, 0.348)
Cl (0.705, 0.054, 0.339)
Cl (0.785, 0.634, 0.839)
Cl (0.866, 0.205, 0.152)

Top 6 peaks for 2θ = 15–90°, sorted by position:
2θ/deg	d/Å	I (rel.)
20.77	4.276	100
24.85	3.582	17
33.64	2.664	38
38.25	2.353	21
41.43	2.179	34
53.12	1.724	18